Entry 1:
BPd5: calculated X-ray diffraction stick pattern (CuKα), based on DFT lattice parameters and positions (PBE).

Largest 10 diffraction maxima, by angle, 15° ≤ 2θ ≤ 90°:
two_theta	d [Å]	I/Imax
38.44	2.342	1000
40.80	2.212	497
46.23	1.964	47
51.77	1.766	93
59.07	1.564	180
67.92	1.380	156
72.70	1.301	297
82.36	1.171	90
88.38	1.106	51
88.81	1.102	49

Crystal structure
Cell lengths 3.128, 3.128, 17.658 Å; angles 90.00, 90.00, 90.00 degrees
Space group I4/mmm (No. 139)
Inequivalent atoms, fractional coordinates:
B: 0.000 0.000 0.000 (multiplicity 2)
Pd: 0.000 0.000 0.113 (multiplicity 4)
Pd: 0.000 0.000 0.296 (multiplicity 4)
Pd: 0.000 0.000 0.500 (multiplicity 2)

---

Entry 2:
SmTlZn: calculated X-ray diffraction stick pattern (CuKα), based on DFT lattice parameters and positions (PBE).

Largest 10 diffraction maxima, by angle, 15° ≤ 2θ ≤ 90°:
two_theta	d [Å]	I/Imax
24.67	3.609	290
32.24	2.777	1000
37.90	2.374	704
48.34	1.883	118
50.58	1.804	283
63.02	1.475	318
64.91	1.437	267
68.45	1.371	124
88.17	1.108	130
89.87	1.091	115

Crystal structure
Cell lengths 4.7479, 4.7479, 7.5307 Å; angles 90.00, 90.00, 120.00 degrees
Space group P6_3/mmc (No. 194)
Inequivalent atoms, fractional coordinates:
Sm: 0.0000 0.0000 0.0000 (multiplicity 2)
Tl: 0.3333 0.6667 0.2500 (multiplicity 2)
Zn: 0.3333 0.6667 0.7500 (multiplicity 2)

---

Entry 3:
Rb3AsCl6: calculated X-ray diffraction stick pattern (CuKα), based on DFT lattice parameters and positions (PBE).

Largest 10 diffraction maxima, by angle, 15° ≤ 2θ ≤ 90°:
two_theta	d [Å]	I/Imax
22.45	3.961	1000
27.58	3.234	264
31.95	2.801	811
39.40	2.287	422
45.82	1.981	525
51.60	1.771	258
56.94	1.617	168
61.99	1.497	273
75.97	1.253	195
89.13	1.099	154

Crystal structure
Cell lengths 11.204, 11.204, 11.204 Å; angles 90.00, 90.00, 90.00 degrees
Space group Fm-3m (No. 225)
Inequivalent atoms, fractional coordinates:
Rb: 0.000 0.000 0.000 (multiplicity 4)
Rb: 0.250 0.250 0.250 (multiplicity 8)
As: 0.000 0.000 0.500 (multiplicity 4)
Cl: 0.000 0.000 0.276 (multiplicity 24)